Structure and theoretical PXRD pattern of ThZn4Rh2 (a DFT-relaxed cell (GGA-PBE, Alexandria); CuKα).
Lines closer than 0.1° are merged.

Cell and atoms:
Cell lengths 7.758, 7.758, 4.025 Å; angles 90.00, 90.00, 90.00 degrees
Element x y z (fractional)
Th 0.000 0.000 0.000
Th 0.500 0.500 0.500
Zn 0.099 0.353 0.500
Zn 0.147 0.599 0.000
Zn 0.353 0.099 0.500
Zn 0.401 0.853 0.000
Zn 0.599 0.147 0.000
Zn 0.647 0.901 0.500
Zn 0.853 0.401 0.000
Zn 0.901 0.647 0.500
Rh 0.190 0.810 0.500
Rh 0.310 0.310 0.000
Rh 0.690 0.690 0.000
Rh 0.810 0.190 0.500

Peak list (10 most intense, 10 to 90 degrees two-theta, in order of rising 2θ)
| 2θ (°) | I_rel | h k l |
| --- | --- | --- |
| 16.16 | 15 | 1 1 0 |
| 32.65 | 24 | 2 2 0 |
| 34.12 | 100 | 2 1 1 |
| 36.63 | 30 | 3 1 0 |
| 39.77 | 37 | 2 2 1 |
| 41.50 | 27 | 3 0 1 |
| 43.18 | 23 | 3 1 1 |
| 45.05 | 26 | 0 0 2 |
| 48.37 | 15 | 4 1 0 |
| 53.78 | 15 | 4 1 1 |

---

Structure and theoretical PXRD pattern of Th2ZrRh9 (a DFT-relaxed cell (GGA-PBE, Alexandria); CuKα).
Lines closer than 0.1° are merged.

Cell and atoms:
Cell lengths 4.084, 4.084, 12.207 Å; angles 90.00, 90.00, 90.00 degrees
Element x y z (fractional)
Th 0.000 0.000 0.171
Th 0.000 0.000 0.829
Zr 0.000 0.000 0.500
Rh 0.000 0.500 0.000
Rh 0.000 0.500 0.344
Rh 0.000 0.500 0.656
Rh 0.500 0.000 0.000
Rh 0.500 0.000 0.344
Rh 0.500 0.000 0.656
Rh 0.500 0.500 0.172
Rh 0.500 0.500 0.500
Rh 0.500 0.500 0.828

Peak list (10 most intense, 10 to 90 degrees two-theta, in order of rising 2θ)
| 2θ (°) | I_rel | h k l |
| --- | --- | --- |
| 21.79 | 7 | 0 0 3 |
| 31.01 | 6 | 1 1 0 |
| 38.22 | 100 | 1 1 3 |
| 44.36 | 33 | 2 0 0 |
| 44.54 | 15 | 0 0 6 |
| 64.54 | 11 | 2 2 0 |
| 64.67 | 20 | 2 0 6 |
| 77.55 | 25 | 3 1 3 |
| 77.80 | 11 | 1 1 9 |
| 81.80 | 10 | 2 2 6 |

---

Structure and theoretical PXRD pattern of Ti7Rh (a DFT-relaxed cell (GGA-PBE, Alexandria); CuKα).
Lines closer than 0.1° are merged.

Cell and atoms:
Cell lengths 3.095, 4.535, 18.886 Å; angles 90.00, 90.00, 90.00 degrees
Element x y z (fractional)
Ti 0.000 0.000 0.000
Ti 0.000 0.000 0.264
Ti 0.000 0.000 0.736
Ti 0.000 0.500 0.112
Ti 0.000 0.500 0.369
Ti 0.000 0.500 0.631
Ti 0.000 0.500 0.888
Ti 0.500 0.000 0.131
Ti 0.500 0.000 0.388
Ti 0.500 0.000 0.612
Ti 0.500 0.000 0.869
Ti 0.500 0.500 0.236
Ti 0.500 0.500 0.500
Ti 0.500 0.500 0.764
Rh 0.000 0.000 0.500
Rh 0.500 0.500 0.000

Peak list (10 most intense, 10 to 90 degrees two-theta, in order of rising 2θ)
| 2θ (°) | I_rel | h k l |
| --- | --- | --- |
| 20.14 | 9 | 0 1 1 |
| 38.12 | 25 | 0 0 8 |
| 39.75 | 27 | 0 2 0 |
| 40.11 | 100 | 1 1 4 |
| 56.25 | 15 | 0 2 8 |
| 59.76 | 7 | 2 0 0 |
| 70.23 | 11 | 1 1 12 |
| 72.40 | 15 | 1 3 4 |
| 74.19 | 7 | 2 2 0 |
| 86.61 | 8 | 2 2 8 |